Calculated powder diffraction line list of Sr3CaCr2S2O5 for Cu Kα, 1.54184 Å, from a crystal structure in Alexandria, relaxed with PBE+U.
Intensities are scaled so that the largest is 100.

Top 10 peaks for 10 to 80 degrees two-theta, by angle:
(1 0 7), 31.6°, 2.834 Å, rel. 100
(1 1 0), 31.7°, 2.819 Å, rel. 48
(1 0 9), 36.5°, 2.464 Å, rel. 40
(1 1 6), 37.2°, 2.418 Å, rel. 23
(2 0 0), 45.5°, 1.993 Å, rel. 45
(2 1 7), 56.4°, 1.630 Å, rel. 36
(2 1 9), 59.7°, 1.550 Å, rel. 18
(2 2 0), 66.3°, 1.409 Å, rel. 13
(2 0 16), 71.4°, 1.321 Å, rel. 14
(3 1 0), 75.4°, 1.261 Å, rel. 16

a b c (Å): 3.9863 3.9863 28.2077
angles (deg): 90.00 90.00 90.00
Space group I-4m2 (No. 119)
Inequivalent atoms, fractional coordinates:
Sr: 0.0000 0.0000 0.0000 [2 per cell]
Sr: 0.0000 0.0000 0.1310 [4 per cell]
Ca: 0.0000 0.5000 0.7500 [2 per cell]
Cr: 0.0000 0.0000 0.4322 [4 per cell]
S: 0.0000 0.0000 0.3159 [4 per cell]
O: 0.0000 0.0000 0.5000 [2 per cell]
O: 0.0000 0.5000 0.0760 [4 per cell]
O: 0.0000 0.5000 0.5762 [4 per cell]